Theoretical powder X-ray diffraction pattern of Ca5ZnHg6 for copper Kα, from DFT lattice parameters and positions (PBE).

Peak list (8 most intense, 2θ = 10–90°, low angle first)
2θ (°)  Rel. int.
23.4  46
24.0  87
33.7  100
33.8  99
34.1  48
34.3  48
41.8  32
49.2  34

Cell and atoms:
```
data_Ca5ZnHg6
_cell_length_a 9.128
_cell_length_b 9.128
_cell_length_c 5.224
_cell_angle_alpha 106.52
_cell_angle_beta 106.52
_cell_angle_gamma 119.45
_symmetry_space_group_name_H-M 'P 1'
_symmetry_Int_Tables_number 1
loop_
_symmetry_equiv_pos_as_xyz
'x,y,z'
loop_
_atom_site_label
_atom_site_fract_x
_atom_site_fract_y
_atom_site_fract_z
Ca1 0.000 0.000 0.000
Ca2 0.169 0.831 0.500
Ca3 0.338 0.662 0.000
Ca4 0.662 0.338 0.000
Ca5 0.831 0.169 0.500
Zn1 0.500 0.500 0.500
Hg1 0.092 0.417 0.256
Hg2 0.251 0.251 0.749
Hg3 0.417 0.092 0.256
Hg4 0.583 0.908 0.744
Hg5 0.749 0.749 0.251
Hg6 0.908 0.583 0.744
```